[1]
The following is a calculated X-ray diffraction stick pattern of KCaSiHO4. It was derived from a DFT-relaxed cell (PBE, the Materials Project), using Cu Kα X-rays.

Crystal structure
```
data_KCaSiHO4
_space_group_name_H-M_alt 'P 1 21 1'
_space_group_IT_number 4
_cell_length_a 5.6081
_cell_length_b 7.5392
_cell_length_c 5.6563
_cell_angle_alpha 90.00
_cell_angle_beta 118.60
_cell_angle_gamma 90.00
loop_
_space_group_symop_operation_xyz
'x,y,z'
'-x,y+1/2,-z'
loop_
_atom_site_label
_atom_site_fract_x
_atom_site_fract_y
_atom_site_fract_z
K1 0.1458 0.0000 0.2792
Ca1 0.4952 0.2482 0.0070
Si1 0.1811 0.4878 0.3754
H1 0.4599 0.7306 0.4649
O1 0.1510 0.9952 0.7841
O2 0.3084 0.6709 0.2936
O3 0.3089 0.3228 0.2820
O4 0.3124 0.4929 0.7056
```

Largest 6 diffraction maxima, sorted by position, 2θ from 10° to 90°:
index, two_theta, Rel. int.
1 2 0, 29.8, 100
1 0 1, 31.1, 35
1 0 -2, 31.7, 40
2 0 -1, 31.9, 28
0 2 2, 43.6, 22
0 0 3, 55.5, 21

[2]
The following is a calculated X-ray diffraction stick pattern of Cu2H5C3N3O5. It was derived from a DFT-relaxed cell (PBE, the Materials Project), using Cu Kα X-rays.

Crystal structure
```
data_Cu2H5C3N3O5
_space_group_name_H-M_alt 'C 1 2/c 1'
_space_group_IT_number 15
_cell_length_a 10.2980
_cell_length_b 12.0676
_cell_length_c 6.4489
_cell_angle_alpha 90.00
_cell_angle_beta 102.57
_cell_angle_gamma 90.00
loop_
_space_group_symop_operation_xyz
'x,y,z'
'-x,-y,-z'
'-x,y,-z+1/2'
'x,-y,z+1/2'
'x+1/2,y+1/2,z'
'-x+1/2,-y+1/2,-z'
'-x+1/2,y+1/2,-z+1/2'
'x+1/2,-y+1/2,z+1/2'
loop_
_atom_site_label
_atom_site_fract_x
_atom_site_fract_y
_atom_site_fract_z
Cu1 0.1232 0.1636 0.1859
H1 0.0000 0.4907 0.7500
H2 0.1287 0.0366 0.4678
H3 0.2299 0.4783 0.5826
C1 0.0000 0.1831 0.7500
C2 0.0646 0.3531 0.9326
N1 0.0000 0.4062 0.7500
N2 0.0561 0.2405 0.9338
O1 0.0000 0.0790 0.7500
O2 0.1266 0.4080 0.0884
O3 0.2015 0.0792 0.4292
```

Largest 6 diffraction maxima, sorted by position, 2θ from 10° to 90°:
index, two_theta, Rel. int.
1 1 0, 11.5, 20
1 1 1, 19.6, 36
0 2 1, 20.4, 53
1 3 0, 23.8, 23
3 1 -1, 28.3, 100
1 3 2, 38.9, 26

[3]
The following is a calculated X-ray diffraction stick pattern of Rb2TiAuF6. It was derived from a DFT-relaxed cell (PBE, the Materials Project), using Cu Kα X-rays.

Crystal structure
```
data_Rb2TiAuF6
_space_group_name_H-M_alt 'F m -3 m'
_space_group_IT_number 225
_space_group_name_Hall '-F 4 2 3'
_cell_length_a 9.4802
_cell_length_b 9.4802
_cell_length_c 9.4802
_cell_angle_alpha 90.00
_cell_angle_beta 90.00
_cell_angle_gamma 90.00
loop_
_atom_site_label
_atom_site_fract_x
_atom_site_fract_y
_atom_site_fract_z
Rb1 0.2500 0.2500 0.2500
Ti1 0.0000 0.0000 0.0000
Au1 0.0000 0.0000 0.5000
F1 0.0000 0.0000 0.1999
```

Largest 6 diffraction maxima, sorted by position, 2θ from 10° to 90°:
index, two_theta, Rel. int.
2 2 0, 26.6, 100
3 1 1, 31.3, 21
4 0 0, 38.0, 33
4 2 2, 47.0, 37
6 2 0, 61.9, 22
6 4 2, 75.0, 23

[4]
The following is a calculated X-ray diffraction stick pattern of ZrFe4Si2. It was derived from a DFT-relaxed cell (PBE, the Materials Project), using Cu Kα X-rays.

Crystal structure
```
data_ZrFe4Si2
_space_group_name_H-M_alt 'P 42/m n m'
_space_group_IT_number 136
_space_group_name_Hall '-P 4n 2n'
_cell_length_a 6.9178
_cell_length_b 6.9178
_cell_length_c 3.7273
_cell_angle_alpha 90.00
_cell_angle_beta 90.00
_cell_angle_gamma 90.00
loop_
_atom_site_label
_atom_site_fract_x
_atom_site_fract_y
_atom_site_fract_z
Zr1 0.0000 0.0000 0.0000
Fe1 0.0883 0.3523 0.5000
Si1 0.2173 0.7827 0.5000
```

Largest 6 diffraction maxima, sorted by position, 2θ from 10° to 90°:
index, two_theta, Rel. int.
2 1 1, 37.8, 100
3 1 0, 41.3, 51
2 2 1, 44.3, 52
3 1 1, 48.2, 46
0 0 2, 48.9, 32
3 1 2, 65.8, 23

[5]
The following is a calculated X-ray diffraction stick pattern of NaSbS2. It was derived from a DFT-relaxed cell (PBE, the Materials Project), using Cu Kα X-rays.

Crystal structure
```
data_NaSbS2
_space_group_name_H-M_alt 'I 41/a m d'
_space_group_IT_number 141
_cell_length_a 5.5815
_cell_length_b 5.5815
_cell_length_c 11.5387
_cell_angle_alpha 90.00
_cell_angle_beta 90.00
_cell_angle_gamma 90.00
loop_
_space_group_symop_operation_xyz
'x,y,z'
'-x,-y,-z'
'-y+1/4,x+3/4,z+1/4'
'y+1/4,-x+3/4,-z+1/4'
'-x+1/2,-y,z+1/2'
'x+1/2,y,-z+1/2'
'y+1/4,-x+1/4,z+3/4'
'-y+1/4,x+1/4,-z+3/4'
'x,-y,-z'
'-x,y,z'
'-y+1/4,-x+1/4,-z+3/4'
'y+1/4,x+1/4,z+3/4'
'-x+1/2,y,-z+1/2'
'x+1/2,-y,z+1/2'
'y+1/4,x+3/4,-z+1/4'
'-y+1/4,-x+3/4,z+1/4'
'x+1/2,y+1/2,z+1/2'
'-x+1/2,-y+1/2,-z+1/2'
'-y+3/4,x+1/4,z+3/4'
'y+3/4,-x+1/4,-z+3/4'
'-x,-y+1/2,z'
'x,y+1/2,-z'
'y+3/4,-x+3/4,z+1/4'
'-y+3/4,x+3/4,-z+1/4'
'x+1/2,-y+1/2,-z+1/2'
'-x+1/2,y+1/2,z+1/2'
'-y+3/4,-x+3/4,-z+1/4'
'y+3/4,x+3/4,z+1/4'
'-x,y+1/2,-z'
'x,-y+1/2,z'
'y+3/4,x+1/4,-z+3/4'
'-y+3/4,-x+1/4,z+3/4'
loop_
_atom_site_label
_atom_site_fract_x
_atom_site_fract_y
_atom_site_fract_z
Na1 0.0000 0.2500 0.3750
Sb1 0.0000 0.2500 0.8750
S1 0.0000 0.2500 0.1140
```

Largest 6 diffraction maxima, sorted by position, 2θ from 10° to 90°:
index, two_theta, Rel. int.
1 0 1, 17.7, 99
1 1 2, 27.4, 40
0 0 4, 31.0, 54
2 0 0, 32.1, 100
2 0 4, 45.2, 72
2 2 4, 56.5, 36